Theoretical powder XRD pattern
Compound: Ba2Tl2Co3O10
Radiation: Cu Kα (weighted mean of Kα1 and Kα2)
Structure: a cell relaxed with PBE+U
Intensities are scaled so that the largest is 100.

Cell and atoms:
```
data_Ba2Tl2Co3O10
_symmetry_space_group_name_H-M 'P 1'
_symmetry_Int_Tables_number 1
_cell_length_a 3.801
_cell_length_b 3.826
_cell_length_c 17.376
_cell_angle_alpha 90.78
_cell_angle_beta 90.42
_cell_angle_gamma 90.01
loop_
_symmetry_equiv_pos_as_xyz
'x,y,z'
loop_
_atom_site_label
_atom_site_type_symbol
_atom_site_fract_x
_atom_site_fract_y
_atom_site_fract_z
_atom_site_occupancy
Ba1 Ba 0.000 0.000 0.000 1
Ba2 Ba 0.481 0.467 0.524 1
Tl1 Tl 0.491 0.461 0.830 1
Tl2 Tl 0.987 0.952 0.694 1
Co1 Co 0.473 0.013 0.261 1
Co2 Co 0.526 0.509 0.141 1
Co3 Co 0.976 0.933 0.380 1
O1 O 0.474 0.010 0.148 1
O2 O 0.474 0.513 0.246 1
O3 O 0.475 0.000 0.375 1
O4 O 0.487 0.551 0.709 1
O5 O 0.498 0.501 0.949 1
O6 O 0.965 0.506 0.099 1
O7 O 0.973 0.016 0.277 1
O8 O 0.977 0.512 0.425 1
O9 O 0.983 0.974 0.575 1
O10 O 0.991 0.057 0.815 1
```

Peak list (10 most intense, 2θ = 10–90°, in order of rising 2θ)
d 3.212, 2θ 27.77, I 40, hkl 0 1 -3
d 3.188, 2θ 27.98, I 43, hkl 1 0 -3
d 3.170, 2θ 28.15, I 100, hkl 0 1 3
d 2.893, 2θ 30.91, I 31, hkl 0 0 6
d 2.696, 2θ 33.22, I 66, hkl 1 -1 0
d 2.667, 2θ 33.60, I 32, hkl 1 1 -1
d 2.482, 2θ 36.19, I 26, hkl 0 0 7
d 1.913, 2θ 47.53, I 19, hkl 0 2 0
d 1.901, 2θ 47.85, I 23, hkl 2 0 0
d 1.634, 2θ 56.31, I 20, hkl -2 1 3